Entry 1:
# Ho2Lu5Ga
Theoretical PXRD pattern, copper Kα. Input: a structure optimized by DFT (PBE).
Kinematic intensities with the Lorentz-polarization factor, no thermal factor.

Top 10 peaks for 5° ≤ 2θ ≤ 70°, by intensity:
34.3°, d = 2.615 Å, I 100
29.9°, d = 2.992 Å, I 24
33.3°, d = 2.689 Å, I 24
64.1°, d = 1.453 Å, I 22
60.2°, d = 1.538 Å, I 20
53.0°, d = 1.727 Å, I 19
64.7°, d = 1.441 Å, I 16
45.3°, d = 2.000 Å, I 16
22.2°, d = 4.000 Å, I 3
62.0°, d = 1.496 Å, I 3

Structure:
```
data_Ho2Lu5Ga
_cell_length_a 5.377
_cell_length_b 6.906
_cell_length_c 11.975
_cell_angle_alpha 90.00
_cell_angle_beta 90.00
_cell_angle_gamma 90.00
_symmetry_space_group_name_H-M 'A m m 2'
_symmetry_Int_Tables_number 38
loop_
_symmetry_equiv_pos_as_xyz
'x,y,z'
'-x,-y,z'
'-x,y,z'
'x,-y,z'
'x,y+1/2,z+1/2'
'-x,-y+1/2,z+1/2'
'-x,y+1/2,z+1/2'
'x,-y+1/2,z+1/2'
loop_
_atom_site_label
_atom_site_type_symbol
_atom_site_fract_x
_atom_site_fract_y
_atom_site_fract_z
_atom_site_occupancy
Ho1 Ho 0.000 0.000 0.000 1
Ho2 Ho 0.500 0.000 0.343 1
Lu1 Lu 0.000 0.000 0.507 1
Lu2 Lu 0.000 0.244 0.758 1
Lu3 Lu 0.500 0.244 0.588 1
Ga1 Ga 0.500 0.000 0.834 1
```

***

Entry 2:
# Ho2Mg3GaNi2
Theoretical PXRD pattern, copper Kα. Input: a structure optimized by DFT (PBE).
Kinematic intensities with the Lorentz-polarization factor, no thermal factor.

Top 10 peaks for 5° ≤ 2θ ≤ 70°, by intensity:
32.9°, d = 2.722 Å, I 100
37.4°, d = 2.407 Å, I 100
22.8°, d = 3.904 Å, I 86
33.1°, d = 2.703 Å, I 79
23.6°, d = 3.772 Å, I 76
37.0°, d = 2.427 Å, I 65
44.3°, d = 2.046 Å, I 51
39.0°, d = 2.311 Å, I 45
38.6°, d = 2.334 Å, I 39
49.8°, d = 1.831 Å, I 31

Structure:
```
data_Ho2Mg3GaNi2
_cell_length_a 9.728
_cell_length_b 4.093
_cell_length_c 7.809
_cell_angle_alpha 90.00
_cell_angle_beta 91.02
_cell_angle_gamma 90.00
_symmetry_space_group_name_H-M 'C 1 m 1'
_symmetry_Int_Tables_number 8
loop_
_symmetry_equiv_pos_as_xyz
'x,y,z'
'x,-y,z'
'x+1/2,y+1/2,z'
'x+1/2,-y+1/2,z'
loop_
_atom_site_label
_atom_site_type_symbol
_atom_site_fract_x
_atom_site_fract_y
_atom_site_fract_z
_atom_site_occupancy
Ho1 Ho 0.000 0.000 0.000 1
Ho2 Ho 0.123 0.000 0.526 1
Mg1 Mg 0.211 0.500 0.204 1
Mg2 Mg 0.409 0.000 0.315 1
Mg3 Mg 0.411 0.000 0.707 1
Ga1 Ga 0.210 0.500 0.816 1
Ni1 Ni 0.284 0.000 0.997 1
Ni2 Ni 0.326 0.500 0.523 1
```

***

Entry 3:
# Ho3Mg3Ga2Pd
Theoretical PXRD pattern, copper Kα. Input: a structure optimized by DFT (PBE).
Kinematic intensities with the Lorentz-polarization factor, no thermal factor.

Top 10 peaks for 5° ≤ 2θ ≤ 70°, by intensity:
35.2°, d = 2.550 Å, I 100
32.1°, d = 2.787 Å, I 80
28.2°, d = 3.162 Å, I 35
20.6°, d = 4.313 Å, I 32
24.4°, d = 3.651 Å, I 31
56.7°, d = 1.625 Å, I 29
41.9°, d = 2.156 Å, I 25
37.6°, d = 2.390 Å, I 24
43.3°, d = 2.091 Å, I 21
42.9°, d = 2.108 Å, I 20

Structure:
```
data_Ho3Mg3Ga2Pd
_cell_length_a 7.3025
_cell_length_b 7.3025
_cell_length_c 4.3128
_cell_angle_alpha 90.00
_cell_angle_beta 90.00
_cell_angle_gamma 120.00
_symmetry_space_group_name_H-M 'P -6 2 m'
_symmetry_Int_Tables_number 189
_symmetry_space_group_name_Hall 'P -6 -2'
loop_
_atom_site_label
_atom_site_type_symbol
_atom_site_fract_x
_atom_site_fract_y
_atom_site_fract_z
_atom_site_occupancy
Ho1 Ho 0.0000 0.4151 0.0000 1
Mg1 Mg 0.0000 0.7602 0.5000 1
Ga1 Ga 0.3333 0.6667 0.5000 1
Pd1 Pd 0.0000 0.0000 0.0000 1
```

***

Entry 4:
# Ho4Ga21Ni10
Theoretical PXRD pattern, copper Kα. Input: a structure optimized by DFT (PBE).
Kinematic intensities with the Lorentz-polarization factor, no thermal factor.

Top 10 peaks for 5° ≤ 2θ ≤ 70°, by intensity:
37.9°, d = 2.371 Å, I 100
44.4°, d = 2.041 Å, I 70
38.7°, d = 2.328 Å, I 56
37.0°, d = 2.430 Å, I 43
38.1°, d = 2.363 Å, I 39
33.8°, d = 2.651 Å, I 20
46.0°, d = 1.974 Å, I 20
36.8°, d = 2.442 Å, I 18
42.2°, d = 2.142 Å, I 18
43.3°, d = 2.089 Å, I 17

Structure:
```
data_Ho4Ga21Ni10
_cell_length_a 20.895
_cell_length_b 4.081
_cell_length_c 15.428
_cell_angle_alpha 90.00
_cell_angle_beta 124.89
_cell_angle_gamma 90.00
_symmetry_space_group_name_H-M 'C 1 2/m 1'
_symmetry_Int_Tables_number 12
loop_
_symmetry_equiv_pos_as_xyz
'x,y,z'
'-x,-y,-z'
'-x,y,-z'
'x,-y,z'
'x+1/2,y+1/2,z'
'-x+1/2,-y+1/2,-z'
'-x+1/2,y+1/2,-z'
'x+1/2,-y+1/2,z'
loop_
_atom_site_label
_atom_site_type_symbol
_atom_site_fract_x
_atom_site_fract_y
_atom_site_fract_z
_atom_site_occupancy
Ho1 Ho 0.119 0.000 0.333 1
Ho2 Ho 0.230 0.000 0.823 1
Ga1 Ga 0.000 0.500 0.500 1
Ga2 Ga 0.005 0.000 0.091 1
Ga3 Ga 0.040 0.500 0.369 1
Ga4 Ga 0.067 0.000 0.796 1
Ga5 Ga 0.102 0.500 0.998 1
Ga6 Ga 0.115 0.500 0.704 1
Ga7 Ga 0.118 0.000 0.553 1
Ga8 Ga 0.125 0.500 0.194 1
Ga9 Ga 0.201 0.000 0.003 1
Ga10 Ga 0.203 0.500 0.503 1
Ga11 Ga 0.246 0.000 0.293 1
Ni1 Ni 0.001 0.500 0.186 1
Ni2 Ni 0.025 0.000 0.606 1
Ni3 Ni 0.131 0.000 0.103 1
Ni4 Ni 0.154 0.500 0.889 1
Ni5 Ni 0.249 0.500 0.385 1
```

***

Entry 5:
# Ho4Ga21Ni10
Theoretical PXRD pattern, copper Kα. Input: a structure optimized by DFT (PBE).
Kinematic intensities with the Lorentz-polarization factor, no thermal factor.

Top 10 peaks for 5° ≤ 2θ ≤ 70°, by intensity:
38.0°, d = 2.369 Å, I 100
44.3°, d = 2.044 Å, I 53
38.7°, d = 2.327 Å, I 42
37.0°, d = 2.432 Å, I 33
33.8°, d = 2.651 Å, I 15
46.0°, d = 1.973 Å, I 15
36.8°, d = 2.443 Å, I 13
42.2°, d = 2.140 Å, I 13
43.3°, d = 2.088 Å, I 13
37.3°, d = 2.411 Å, I 13

Structure:
```
data_Ho4Ga21Ni10
_cell_length_a 20.899
_cell_length_b 4.087
_cell_length_c 15.429
_cell_angle_alpha 90.00
_cell_angle_beta 125.01
_cell_angle_gamma 90.00
_symmetry_space_group_name_H-M 'C 1 2/m 1'
_symmetry_Int_Tables_number 12
loop_
_symmetry_equiv_pos_as_xyz
'x,y,z'
'-x,-y,-z'
'-x,y,-z'
'x,-y,z'
'x+1/2,y+1/2,z'
'-x+1/2,-y+1/2,-z'
'-x+1/2,y+1/2,-z'
'x+1/2,-y+1/2,z'
loop_
_atom_site_label
_atom_site_type_symbol
_atom_site_fract_x
_atom_site_fract_y
_atom_site_fract_z
_atom_site_occupancy
Ho1 Ho 0.120 0.000 0.333 1
Ho2 Ho 0.229 0.000 0.823 1
Ga1 Ga 0.000 0.500 0.500 1
Ga2 Ga 0.006 0.000 0.091 1
Ga3 Ga 0.041 0.500 0.369 1
Ga4 Ga 0.065 0.000 0.796 1
Ga5 Ga 0.102 0.500 0.998 1
Ga6 Ga 0.115 0.500 0.703 1
Ga7 Ga 0.117 0.000 0.552 1
Ga8 Ga 0.127 0.500 0.195 1
Ga9 Ga 0.201 0.000 0.003 1
Ga10 Ga 0.203 0.500 0.502 1
Ga11 Ga 0.248 0.000 0.294 1
Ni1 Ni 0.002 0.500 0.186 1
Ni2 Ni 0.024 0.000 0.607 1
Ni3 Ni 0.133 0.000 0.104 1
Ni4 Ni 0.153 0.500 0.888 1
Ni5 Ni 0.249 0.000 0.614 1
```

***

Entry 6:
# HoGaNiPd
Theoretical PXRD pattern, copper Kα. Input: a structure optimized by DFT (PBE).
Kinematic intensities with the Lorentz-polarization factor, no thermal factor.

Top 10 peaks for 5° ≤ 2θ ≤ 70°, by intensity:
39.0°, d = 2.311 Å, I 100
42.3°, d = 2.137 Å, I 82
31.5°, d = 2.842 Å, I 35
58.9°, d = 1.569 Å, I 29
24.0°, d = 3.702 Å, I 20
26.1°, d = 3.416 Å, I 16
68.3°, d = 1.373 Å, I 12
60.1°, d = 1.539 Å, I 8
53.7°, d = 1.708 Å, I 8
40.7°, d = 2.219 Å, I 4

Structure:
```
data_HoGaNiPd
_cell_length_a 4.2745
_cell_length_b 4.2745
_cell_length_c 8.8740
_cell_angle_alpha 90.00
_cell_angle_beta 90.00
_cell_angle_gamma 120.00
_symmetry_space_group_name_H-M 'P -3 m 1'
_symmetry_Int_Tables_number 164
_symmetry_space_group_name_Hall '-P 3 2"'
loop_
_atom_site_label
_atom_site_type_symbol
_atom_site_fract_x
_atom_site_fract_y
_atom_site_fract_z
_atom_site_occupancy
Ho1 Ho 0.3333 0.6667 0.2634 1
Ga1 Ga 0.0000 0.0000 0.0000 1
Ga2 Ga 0.0000 0.0000 0.5000 1
Ni1 Ni 0.3333 0.6667 0.5697 1
Pd1 Pd 0.3333 0.6667 0.9118 1
```

***

Which formula does entry 6 have?
HoGaNiPd